# 1
Starting from a cell relaxed with PBE, the XRD peak list of Pr4Dy6Ho was calculated for Cu Kα (λ = 1.5418 Å).

Structural model:
```
Pr4Dy6Ho
1.0
-3.847 3.847 6.629
3.847 -3.847 6.629
3.847 3.847 -6.629
Pr Dy Ho
4 6 1
Direct
0.246 0.246 0.646
0.401 0.754 0.000
0.599 0.599 0.354
0.754 0.401 0.000
0.000 0.500 0.500
0.054 0.580 0.000
0.420 0.420 0.474
0.500 0.000 0.500
0.580 0.054 0.000
0.946 0.946 0.526
0.000 0.000 0.000
```

Most intense lines, 10° ≤ 2θ ≤ 90°, sorted by position:
d_spacing  2θ (°)  I (rel.)
6.630  13.4  23
3.846  23.1  23
3.328  26.8  100
2.830  31.6  92
2.718  32.9  89
2.517  35.7  27
2.510  35.8  35
2.284  39.5  20
1.961  46.3  28
1.665  55.2  36
1.522  60.9  24
1.194  80.5  15

***

# 2
Starting from a cell relaxed with PBE, the XRD peak list of PmPrH8Rh2 was calculated for Cu Kα (λ = 1.5418 Å).

Structural model:
```
PmPrH8Rh2
1.0
2.455 1.417 6.061
-2.455 1.417 6.061
0.000 -2.835 6.061
Pm Pr H Rh
1 1 8 2
Direct
0.000 0.000 0.000
0.500 0.500 0.500
0.112 0.514 0.541
0.175 0.175 0.175
0.459 0.888 0.486
0.486 0.459 0.888
0.514 0.541 0.112
0.541 0.112 0.514
0.825 0.825 0.825
0.888 0.486 0.459
0.264 0.264 0.264
0.736 0.736 0.736
```

Most intense lines, 10° ≤ 2θ ≤ 90°, sorted by position:
d_spacing  2θ (°)  I (rel.)
3.852  23.1  4
3.105  28.7  100
2.455  36.6  56
2.004  45.2  25
1.926  47.2  26
1.553  59.5  11
1.515  61.2  26
1.417  65.9  10
1.312  72.0  12
1.289  73.4  9
1.228  77.8  6
1.142  85.0  9